[1]
Structure and computed powder diffraction line list of NaMgF3 (DFT lattice parameters and positions (PBE); λ = 1.5418 Å (Cu Kα)).
Neutral-atom scattering factors, no anomalous dispersion.

Largest 6 diffraction maxima, by intensity, 2θ = 15–90°:
d [Å], 2theta, Rel. int., (hkl)
1.943, 46.7, 100.0, 0 4 0
2.748, 32.6, 54.1, 1 2 1
1.573, 58.7, 33.5, 1 2 3
3.886, 22.9, 28.3, 1 0 1
2.337, 38.5, 27.4, 0 3 1
2.264, 39.8, 26.2, 2 2 0

a = 5.5737 Å, b = 7.7681 Å, c = 5.4247 Å
α = 90.00°, β = 90.00°, γ = 90.00°
Space group Pnma (No. 62)
Symmetry-distinct sites (fractional):
Na: 0.0477 0.2500 0.0119 (multiplicity 4)
Mg: 0.0000 0.0000 0.5000 (multiplicity 4)
F: 0.0301 0.7500 0.4078 (multiplicity 4)
F: 0.2049 0.5483 0.7976 (multiplicity 8)



[2]
Structure and computed powder diffraction line list of Ag (DFT lattice parameters and positions (PBE); λ = 1.5418 Å (Cu Kα)).
Neutral-atom scattering factors, no anomalous dispersion.

Largest 5 diffraction maxima, by intensity, 2θ = 15–90°:
d [Å], 2theta, Rel. int., (hkl)
2.402, 37.4, 100.0, 1 1 1
2.080, 43.5, 48.3, 2 0 0
1.254, 75.8, 34.8, 3 1 1
1.471, 63.2, 29.9, 2 2 0
1.201, 79.9, 10.1, 2 2 2

a = 4.1605 Å, b = 4.1605 Å, c = 4.1605 Å
α = 90.00°, β = 90.00°, γ = 90.00°
Space group Fm-3m (No. 225)
Symmetry-distinct sites (fractional):
Ag: 0.0000 0.0000 0.0000 (multiplicity 4)



[3]
Structure and computed powder diffraction line list of ScZn2Pt (DFT lattice parameters and positions (PBE); λ = 1.5418 Å (Cu Kα)).
Neutral-atom scattering factors, no anomalous dispersion.

Largest 6 diffraction maxima, by intensity, 2θ = 15–90°:
d [Å], 2theta, Rel. int., (hkl)
2.233, 40.4, 100.0, 2 2 0
3.646, 24.4, 36.2, 1 1 1
1.289, 73.5, 32.8, 4 2 2
1.904, 47.8, 19.4, 3 1 1
1.579, 58.5, 16.5, 4 0 0
1.116, 87.3, 10.6, 4 4 0

a = 6.3153 Å, b = 6.3153 Å, c = 6.3153 Å
α = 90.00°, β = 90.00°, γ = 90.00°
Space group Fm-3m (No. 225)
Symmetry-distinct sites (fractional):
Sc: 0.0000 0.0000 0.0000 (multiplicity 4)
Zn: 0.2500 0.2500 0.2500 (multiplicity 8)
Pt: 0.0000 0.0000 0.5000 (multiplicity 4)



[4]
Structure and computed powder diffraction line list of Ba2ScUO6 (DFT lattice parameters and positions (PBE); λ = 1.5418 Å (Cu Kα)).
Neutral-atom scattering factors, no anomalous dispersion.

Largest 6 diffraction maxima, by intensity, 2θ = 15–90°:
d [Å], 2theta, Rel. int., (hkl)
3.031, 29.5, 100.0, 2 2 0
1.750, 52.3, 41.3, 4 2 2
2.143, 42.2, 29.9, 4 0 0
4.949, 17.9, 27.0, 1 1 1
1.145, 84.6, 22.4, 6 4 2
1.515, 61.2, 19.0, 4 4 0

a = 8.5716 Å, b = 8.5716 Å, c = 8.5716 Å
α = 90.00°, β = 90.00°, γ = 90.00°
Space group Fm-3m (No. 225)
Symmetry-distinct sites (fractional):
Ba: 0.2500 0.2500 0.2500 (multiplicity 8)
Sc: 0.0000 0.0000 0.0000 (multiplicity 4)
U: 0.0000 0.0000 0.5000 (multiplicity 4)
O: 0.0000 0.0000 0.2485 (multiplicity 24)



[5]
Structure and computed powder diffraction line list of PrFe2Ge2 (DFT lattice parameters and positions (PBE); λ = 1.5418 Å (Cu Kα)).
Neutral-atom scattering factors, no anomalous dispersion.

Largest 6 diffraction maxima, by intensity, 2θ = 15–90°:
d [Å], 2theta, Rel. int., (hkl)
2.695, 33.2, 100.0, 1 0 3
2.533, 35.4, 99.8, 1 1 2
2.027, 44.7, 61.7, 2 0 0
1.620, 56.8, 46.6, 2 1 3
1.910, 47.6, 40.4, 1 0 5
2.867, 31.2, 30.1, 1 1 0

a = 4.0540 Å, b = 4.0540 Å, c = 10.8257 Å
α = 90.00°, β = 90.00°, γ = 90.00°
Space group I4/mmm (No. 139)
Symmetry-distinct sites (fractional):
Pr: 0.0000 0.0000 0.0000 (multiplicity 2)
Fe: 0.0000 0.5000 0.2500 (multiplicity 4)
Ge: 0.0000 0.0000 0.3775 (multiplicity 4)